Diffraction record for Pr3GaRu3. The powder diffractogram is theoretical, not measured: it uses a crystal structure in Alexandria, relaxed with PBE and Cu Kα X-rays.

```
data_Pr3GaRu3
_cell_length_a 4.296
_cell_length_b 10.833
_cell_length_c 13.648
_cell_angle_alpha 90.00
_cell_angle_beta 90.00
_cell_angle_gamma 90.00
_symmetry_space_group_name_H-M 'C m c m'
_symmetry_Int_Tables_number 63
_symmetry_space_group_name_Hall '-C 2c 2'
loop_
_atom_site_label
_atom_site_type_symbol
_atom_site_fract_x
_atom_site_fract_y
_atom_site_fract_z
Pr1 Pr 0.000 0.003 0.250
Pr2 Pr 0.000 0.294 0.105
Ga1 Ga 0.000 0.000 0.000
Ru1 Ru 0.000 0.295 0.750
Ru2 Ru 0.000 0.420 0.594
```

The 12 most intense peaks (15 to 90 degrees two-theta), by intensity:
2θ 38.1, I 100.0; 2θ 34.6, I 91.8; 2θ 32.4, I 89.2; 2θ 42.1, I 64.6; 2θ 29.8, I 58.5; 2θ 38.7, I 57.1; 2θ 58.5, I 33.8; 2θ 39.6, I 33.7; 2θ 33.1, I 33.0; 2θ 63.9, I 30.4; 2θ 31.0, I 28.4; 2θ 25.8, I 22.1

=====

Diffraction record for Sr2LiAg2. The powder diffractogram is theoretical, not measured: it uses a crystal structure in Alexandria, relaxed with PBE and Cu Kα X-rays.

```
data_Sr2LiAg2
_cell_length_a 12.101
_cell_length_b 4.645
_cell_length_c 11.797
_cell_angle_alpha 90.00
_cell_angle_beta 118.59
_cell_angle_gamma 90.00
_symmetry_space_group_name_H-M 'C 1 2/m 1'
_symmetry_Int_Tables_number 12
loop_
_symmetry_equiv_pos_as_xyz
'x,y,z'
'-x,-y,-z'
'-x,y,-z'
'x,-y,z'
'x+1/2,y+1/2,z'
'-x+1/2,-y+1/2,-z'
'-x+1/2,y+1/2,-z'
'x+1/2,-y+1/2,z'
loop_
_atom_site_label
_atom_site_type_symbol
_atom_site_fract_x
_atom_site_fract_y
_atom_site_fract_z
Sr1 Sr 0.003 0.000 0.330
Sr2 Sr 0.188 0.000 0.108
Li1 Li 0.222 0.500 0.373
Ag1 Ag 0.013 0.500 0.884
Ag2 Ag 0.139 0.500 0.566
```

The 12 most intense peaks (15 to 90 degrees two-theta), by intensity:
2θ 29.5, I 100.0; 2θ 30.0, I 85.6; 2θ 36.1, I 47.6; 2θ 38.8, I 42.1; 2θ 32.5, I 28.7; 2θ 24.1, I 22.5; 2θ 16.7, I 21.5; 2θ 34.6, I 16.9; 2θ 29.3, I 14.5; 2θ 49.5, I 13.7; 2θ 43.3, I 13.0; 2θ 34.9, I 13.0

=====

Diffraction record for La2TbErS4. The powder diffractogram is theoretical, not measured: it uses a crystal structure in Alexandria, relaxed with PBE and Cu Kα X-rays.

```
data_La2TbErS4
_cell_length_a 6.918
_cell_length_b 3.969
_cell_length_c 7.097
_cell_angle_alpha 90.00
_cell_angle_beta 108.80
_cell_angle_gamma 90.00
_symmetry_space_group_name_H-M 'P 1 2/m 1'
_symmetry_Int_Tables_number 10
loop_
_symmetry_equiv_pos_as_xyz
'x,y,z'
'-x,-y,-z'
'-x,y,-z'
'x,-y,z'
loop_
_atom_site_label
_atom_site_type_symbol
_atom_site_fract_x
_atom_site_fract_y
_atom_site_fract_z
La1 La 0.000 0.000 0.000
La2 La 0.500 0.500 0.000
Tb1 Tb 0.000 0.500 0.500
Er1 Er 0.500 0.000 0.500
S1 S 0.246 0.000 0.729
S2 S 0.261 0.500 0.273
```

The 12 most intense peaks (15 to 90 degrees two-theta), by intensity:
2θ 31.4, I 100.0; 2θ 27.4, I 37.7; 2θ 44.6, I 24.5; 2θ 45.5, I 23.6; 2θ 26.5, I 20.8; 2θ 27.2, I 19.1; 2θ 44.4, I 12.4; 2θ 56.5, I 12.2; 2θ 45.7, I 11.6; 2θ 65.6, I 11.4; 2θ 52.6, I 10.5; 2θ 73.9, I 10.5

=====

Diffraction record for Cs2HgS2. The powder diffractogram is theoretical, not measured: it uses a crystal structure in Alexandria, relaxed with PBE and Cu Kα X-rays.

```
data_Cs2HgS2
_cell_length_a 9.587
_cell_length_b 7.048
_cell_length_c 13.907
_cell_angle_alpha 90.00
_cell_angle_beta 90.00
_cell_angle_gamma 90.00
_symmetry_space_group_name_H-M 'P n m a'
_symmetry_Int_Tables_number 62
loop_
_symmetry_equiv_pos_as_xyz
'x,y,z'
'-x,-y,-z'
'-x+1/2,-y,z+1/2'
'x+1/2,y,-z+1/2'
'x+1/2,-y+1/2,-z+1/2'
'-x+1/2,y+1/2,z+1/2'
'-x,y+1/2,-z'
'x,-y+1/2,z'
loop_
_atom_site_label
_atom_site_type_symbol
_atom_site_fract_x
_atom_site_fract_y
_atom_site_fract_z
Cs1 Cs 0.038 0.250 0.214
Cs2 Cs 0.153 0.250 0.593
Hg1 Hg 0.184 0.250 0.945
S1 S 0.014 0.250 0.826
S2 S 0.153 0.750 0.571
```

The 12 most intense peaks (15 to 90 degrees two-theta), by intensity:
2θ 22.5, I 100.0; 2θ 23.0, I 79.9; 2θ 25.3, I 68.0; 2θ 26.8, I 44.1; 2θ 34.1, I 37.9; 2θ 37.1, I 36.7; 2θ 16.9, I 33.4; 2θ 23.3, I 25.4; 2θ 42.9, I 20.9; 2θ 50.3, I 20.7; 2θ 41.9, I 19.3; 2θ 43.2, I 15.5

=====

Diffraction record for Tl2Os2PbO7. The powder diffractogram is theoretical, not measured: it uses a crystal structure in Alexandria, relaxed with PBE and Cu Kα X-rays.

```
data_Tl2Os2PbO7
_cell_length_a 5.443
_cell_length_b 5.443
_cell_length_c 12.589
_cell_angle_alpha 90.00
_cell_angle_beta 102.38
_cell_angle_gamma 90.00
_symmetry_space_group_name_H-M 'C 1 2/m 1'
_symmetry_Int_Tables_number 12
loop_
_symmetry_equiv_pos_as_xyz
'x,y,z'
'-x,-y,-z'
'-x,y,-z'
'x,-y,z'
'x+1/2,y+1/2,z'
'-x+1/2,-y+1/2,-z'
'-x+1/2,y+1/2,-z'
'x+1/2,-y+1/2,z'
loop_
_atom_site_label
_atom_site_type_symbol
_atom_site_fract_x
_atom_site_fract_y
_atom_site_fract_z
Tl1 Tl 0.195 0.000 0.389
Os1 Os 0.089 0.500 0.179
Pb1 Pb 0.000 0.000 0.000
O1 O 0.000 0.500 0.000
O2 O 0.165 0.250 0.829
O3 O 0.166 0.500 0.335
```

The 12 most intense peaks (15 to 90 degrees two-theta), by intensity:
2θ 29.5, I 100.0; 2θ 32.9, I 41.5; 2θ 56.7, I 33.5; 2θ 47.2, I 19.5; 2θ 50.0, I 15.0; 2θ 36.5, I 14.3; 2θ 61.1, I 12.9; 2θ 61.5, I 9.1; 2θ 78.6, I 7.2; 2θ 76.8, I 7.0; 2θ 69.0, I 6.2; 2θ 50.0, I 5.0

=====

Diffraction record for Cd12Ga5Hg2. The powder diffractogram is theoretical, not measured: it uses a crystal structure in Alexandria, relaxed with PBE and Cu Kα X-rays.

```
data_Cd12Ga5Hg2
_cell_length_a 15.819
_cell_length_b 9.985
_cell_length_c 5.798
_cell_angle_alpha 90.00
_cell_angle_beta 107.66
_cell_angle_gamma 90.00
_symmetry_space_group_name_H-M 'C 1 2/m 1'
_symmetry_Int_Tables_number 12
loop_
_symmetry_equiv_pos_as_xyz
'x,y,z'
'-x,-y,-z'
'-x,y,-z'
'x,-y,z'
'x+1/2,y+1/2,z'
'-x+1/2,-y+1/2,-z'
'-x+1/2,y+1/2,-z'
'x+1/2,-y+1/2,z'
loop_
_atom_site_label
_atom_site_type_symbol
_atom_site_fract_x
_atom_site_fract_y
_atom_site_fract_z
Cd1 Cd 0.097 0.000 0.151
Cd2 Cd 0.097 0.271 0.566
Cd3 Cd 0.113 0.500 0.931
Cd4 Cd 0.205 0.252 0.196
Ga1 Ga 0.000 0.000 0.500
Ga2 Ga 0.182 0.000 0.776
Ga3 Ga 0.212 0.500 0.543
Hg1 Hg 0.000 0.272 0.000
```

The 12 most intense peaks (15 to 90 degrees two-theta), by intensity:
2θ 37.3, I 100.0; 2θ 39.0, I 59.5; 2θ 36.0, I 57.2; 2θ 35.9, I 42.5; 2θ 30.9, I 38.9; 2θ 42.1, I 22.4; 2θ 48.1, I 18.7; 2θ 33.2, I 18.5; 2θ 17.8, I 16.6; 2θ 65.6, I 14.9; 2θ 34.4, I 14.0; 2θ 41.1, I 13.2

=====

Diffraction record for Co4IrN4. The powder diffractogram is theoretical, not measured: it uses a crystal structure in Alexandria, relaxed with PBE and Cu Kα X-rays.

```
data_Co4IrN4
_cell_length_a 4.711
_cell_length_b 5.000
_cell_length_c 7.868
_cell_angle_alpha 72.24
_cell_angle_beta 84.86
_cell_angle_gamma 80.77
_symmetry_space_group_name_H-M 'P -1'
_symmetry_Int_Tables_number 2
loop_
_symmetry_equiv_pos_as_xyz
'x,y,z'
'-x,-y,-z'
loop_
_atom_site_label
_atom_site_type_symbol
_atom_site_fract_x
_atom_site_fract_y
_atom_site_fract_z
Co1 Co 0.217 0.154 0.364
Co2 Co 0.219 0.344 0.932
Co3 Co 0.237 0.724 0.214
Co4 Co 0.255 0.463 0.559
Ir1 Ir 0.263 0.937 0.761
N1 N 0.011 0.807 0.427
N2 N 0.169 0.674 0.004
N3 N 0.346 0.089 0.142
N4 N 0.490 0.410 0.328
```

The 12 most intense peaks (15 to 90 degrees two-theta), by intensity:
2θ 38.8, I 100.0; 2θ 34.7, I 83.6; 2θ 38.3, I 75.2; 2θ 42.6, I 73.7; 2θ 36.4, I 58.3; 2θ 23.8, I 48.2; 2θ 38.5, I 42.0; 2θ 25.6, I 39.0; 2θ 18.8, I 36.7; 2θ 22.1, I 33.9; 2θ 40.8, I 33.3; 2θ 49.4, I 32.7

=====

Diffraction record for Li2LaPt. The powder diffractogram is theoretical, not measured: it uses a crystal structure in Alexandria, relaxed with PBE and Cu Kα X-rays.

```
data_Li2LaPt
_cell_length_a 3.940
_cell_length_b 3.999
_cell_length_c 6.128
_cell_angle_alpha 90.00
_cell_angle_beta 108.33
_cell_angle_gamma 90.00
_symmetry_space_group_name_H-M 'P 1 m 1'
_symmetry_Int_Tables_number 6
loop_
_symmetry_equiv_pos_as_xyz
'x,y,z'
'x,-y,z'
loop_
_atom_site_label
_atom_site_type_symbol
_atom_site_fract_x
_atom_site_fract_y
_atom_site_fract_z
Li1 Li 0.000 0.000 0.000
Li2 Li 0.457 0.500 0.916
La1 La 0.720 0.000 0.451
Pt1 Pt 0.135 0.500 0.276
```

The 12 most intense peaks (15 to 90 degrees two-theta), by intensity:
2θ 15.2, I 100.0; 2θ 32.8, I 82.7; 2θ 38.3, I 24.3; 2θ 27.1, I 21.1; 2θ 45.4, I 18.5; 2θ 39.5, I 14.4; 2θ 39.7, I 13.8; 2θ 32.5, I 13.2; 2θ 32.3, I 13.2; 2θ 52.4, I 12.3; 2θ 48.1, I 11.0; 2θ 46.1, I 9.5